Structure and computed powder diffractogram of ThFe2C2 (a structure optimized by DFT (PBE); Cu Kα (weighted mean of Kα1 and Kα2)).
Peak positions follow from Bragg's law for the DFT cell and can differ from measured ones.

Structure:
```
data_ThFe2C2
_chemical_formula_sum 'Th2 Fe4 C4'
_space_group_name_H-M_alt 'P 1'
_space_group_IT_number 1
_space_group_name_Hall 'P 1'
_cell_length_a 6.366
_cell_length_b 5.524
_cell_length_c 5.231
_cell_angle_alpha 72.52
_cell_angle_beta 55.87
_cell_angle_gamma 51.61
loop_
_atom_site_label
_atom_site_type_symbol
_atom_site_fract_x
_atom_site_fract_y
_atom_site_fract_z
Th1 Th 0.125 0.125 0.125
Th2 Th 0.875 0.875 0.875
Fe1 Fe 0.244 0.244 0.506
Fe2 Fe 0.494 0.494 0.756
Fe3 Fe 0.506 0.506 0.244
Fe4 Fe 0.756 0.756 0.494
C1 C 0.194 0.556 0.194
C2 C 0.444 0.806 0.444
C3 C 0.556 0.194 0.556
C4 C 0.806 0.444 0.806
```

Main lines, by angle (5° ≤ 2θ ≤ 70°):
2θ = 20.57°, rel. 61.0; 2θ = 28.12°, rel. 68.1; 2θ = 34.17°, rel. 100.0; 2θ = 36.03°, rel. 74.9; 2θ = 36.92°, rel. 92.3; 2θ = 41.80°, rel. 34.7; 2θ = 45.56°, rel. 52.9; 2θ = 52.43°, rel. 24.8; 2θ = 56.37°, rel. 52.1; 2θ = 63.51°, rel. 26.5